1.
Starting from the GGA-PBE geometry in Alexandria, the X-ray diffraction stick pattern of TbPa3S6 was calculated for a wavelength of 1.5418 Å.

Principal peaks in the range 2θ from 15° to 90°, sorted by position:
16.48 deg, d 5.380, intensity 44
23.47 deg, d 3.790, intensity 92
24.36 deg, d 3.654, intensity 100
26.75 deg, d 3.333, intensity 94
26.86 deg, d 3.319, intensity 64
28.21 deg, d 3.163, intensity 61
31.31 deg, d 2.857, intensity 52
34.65 deg, d 2.589, intensity 62
43.11 deg, d 2.098, intensity 63
47.17 deg, d 1.927, intensity 42

```
data_TbPa3S6
_chemical_formula_sum 'Tb2 Pa6 S12'
_cell_length_a 10.9659
_cell_length_b 3.8536
_cell_length_c 11.3879
_cell_angle_alpha 90.00
_cell_angle_beta 107.09
_cell_angle_gamma 90.00
_space_group_name_H-M_alt 'P 1'
_space_group_IT_number 1
loop_
_space_group_symop_operation_xyz
'x,y,z'
loop_
_atom_site_label
_atom_site_type_symbol
_atom_site_fract_x
_atom_site_fract_y
_atom_site_fract_z
_atom_site_occupancy
Tb1 Tb 0.0446 0.2500 0.1925 1
Tb2 Tb 0.9554 0.7500 0.8075 1
Pa1 Pa 0.1484 0.2500 0.5713 1
Pa2 Pa 0.3178 0.7500 0.9978 1
Pa3 Pa 0.4226 0.2500 0.3360 1
Pa4 Pa 0.5774 0.7500 0.6640 1
Pa5 Pa 0.6822 0.2500 0.0022 1
Pa6 Pa 0.8516 0.7500 0.4287 1
S1 S 0.0840 0.7500 0.3901 1
S2 S 0.1173 0.2500 0.9636 1
S3 S 0.1933 0.7500 0.7482 1
S4 S 0.2510 0.7500 0.2175 1
S5 S 0.3972 0.2500 0.5712 1
S6 S 0.4903 0.2500 0.1244 1
S7 S 0.5097 0.7500 0.8756 1
S8 S 0.6028 0.7500 0.4288 1
S9 S 0.7490 0.2500 0.7825 1
S10 S 0.8067 0.2500 0.2518 1
S11 S 0.8827 0.7500 0.0364 1
S12 S 0.9160 0.2500 0.6099 1
```

***

2.
Starting from the GGA-PBE geometry in Alexandria, the X-ray diffraction stick pattern of Tb2TmPaS4 was calculated for a wavelength of 1.5418 Å.

Principal peaks in the range 2θ from 15° to 90°, sorted by position:
27.82 deg, d 3.207, intensity 23
27.98 deg, d 3.189, intensity 22
28.20 deg, d 3.165, intensity 44
32.50 deg, d 2.755, intensity 100
46.22 deg, d 1.964, intensity 12
46.53 deg, d 1.952, intensity 24
46.73 deg, d 1.944, intensity 24
46.99 deg, d 1.934, intensity 12
55.54 deg, d 1.655, intensity 14
58.31 deg, d 1.582, intensity 12

```
data_Tb2TmPaS4
_chemical_formula_sum 'Tb2 Tm1 Pa1 S4'
_cell_length_a 6.7457
_cell_length_b 3.8671
_cell_length_c 6.7831
_cell_angle_alpha 90.00
_cell_angle_beta 109.00
_cell_angle_gamma 90.00
_space_group_name_H-M_alt 'P 1'
_space_group_IT_number 1
loop_
_space_group_symop_operation_xyz
'x,y,z'
loop_
_atom_site_label
_atom_site_type_symbol
_atom_site_fract_x
_atom_site_fract_y
_atom_site_fract_z
_atom_site_occupancy
Tb1 Tb 0.0000 0.0000 0.0000 1
Tb2 Tb 0.0000 0.5000 0.5000 1
Tm1 Tm 0.5000 0.0000 0.5000 1
Pa1 Pa 0.5000 0.5000 0.0000 1
S1 S 0.2516 0.0000 0.7462 1
S2 S 0.2555 0.5000 0.2553 1
S3 S 0.7445 0.5000 0.7447 1
S4 S 0.7484 0.0000 0.2538 1
```

***

3.
Starting from the GGA-PBE geometry in Alexandria, the X-ray diffraction stick pattern of Pa2TcS6 was calculated for a wavelength of 1.5418 Å.

Principal peaks in the range 2θ from 15° to 90°, sorted by position:
19.42 deg, d 4.572, intensity 50
20.91 deg, d 4.249, intensity 62
21.98 deg, d 4.044, intensity 100
22.18 deg, d 4.008, intensity 95
27.47 deg, d 3.247, intensity 97
28.53 deg, d 3.129, intensity 74
28.84 deg, d 3.096, intensity 57
34.21 deg, d 2.621, intensity 55
40.95 deg, d 2.204, intensity 92
41.36 deg, d 2.183, intensity 64

```
data_Pa2TcS6
_chemical_formula_sum 'Pa4 Tc2 S12'
_cell_length_a 6.0208
_cell_length_b 7.0268
_cell_length_c 10.3463
_cell_angle_alpha 90.00
_cell_angle_beta 124.78
_cell_angle_gamma 90.00
_space_group_name_H-M_alt 'P 1'
_space_group_IT_number 1
loop_
_space_group_symop_operation_xyz
'x,y,z'
loop_
_atom_site_label
_atom_site_type_symbol
_atom_site_fract_x
_atom_site_fract_y
_atom_site_fract_z
_atom_site_occupancy
Pa1 Pa 0.2067 0.1296 0.2572 1
Pa2 Pa 0.2067 0.3704 0.7572 1
Pa3 Pa 0.7933 0.6296 0.2428 1
Pa4 Pa 0.7933 0.8704 0.7428 1
Tc1 Tc 0.0000 0.0000 0.5000 1
Tc2 Tc 0.0000 0.5000 0.0000 1
S1 S 0.0863 0.1865 0.9413 1
S2 S 0.0863 0.3135 0.4413 1
S3 S 0.2843 0.6776 0.9404 1
S4 S 0.2843 0.8224 0.4404 1
S5 S 0.4068 0.0356 0.7618 1
S6 S 0.4068 0.4644 0.2618 1
S7 S 0.5932 0.5356 0.7382 1
S8 S 0.5932 0.9644 0.2382 1
S9 S 0.7157 0.1776 0.5596 1
S10 S 0.7157 0.3224 0.0596 1
S11 S 0.9137 0.6865 0.5587 1
S12 S 0.9137 0.8135 0.0587 1
```

***

4.
Starting from the GGA-PBE geometry in Alexandria, the X-ray diffraction stick pattern of Pa2Te4S was calculated for a wavelength of 1.5418 Å.

Principal peaks in the range 2θ from 15° to 90°, sorted by position:
21.59 deg, d 4.117, intensity 72
23.83 deg, d 3.734, intensity 55
24.01 deg, d 3.707, intensity 58
29.50 deg, d 3.028, intensity 52
30.74 deg, d 2.909, intensity 94
31.02 deg, d 2.883, intensity 100
35.95 deg, d 2.498, intensity 48
36.07 deg, d 2.490, intensity 49
36.22 deg, d 2.480, intensity 51
41.02 deg, d 2.200, intensity 56

```
data_Pa2Te4S
_chemical_formula_sum 'Pa4 Te8 S2'
_cell_length_a 10.0814
_cell_length_b 10.0814
_cell_length_c 7.6930
_cell_angle_alpha 112.19
_cell_angle_beta 112.19
_cell_angle_gamma 109.50
_space_group_name_H-M_alt 'P 1'
_space_group_IT_number 1
loop_
_space_group_symop_operation_xyz
'x,y,z'
loop_
_atom_site_label
_atom_site_type_symbol
_atom_site_fract_x
_atom_site_fract_y
_atom_site_fract_z
_atom_site_occupancy
Pa1 Pa 0.0015 0.5020 0.9481 1
Pa2 Pa 0.0352 0.9648 0.5000 1
Pa3 Pa 0.5020 0.0015 0.4481 1
Pa4 Pa 0.9648 0.0352 0.0000 1
Te1 Te 0.1782 0.3082 0.9570 1
Te2 Te 0.2328 0.7667 0.4653 1
Te3 Te 0.2915 0.7160 0.9554 1
Te4 Te 0.3082 0.1782 0.4570 1
Te5 Te 0.6918 0.8211 0.4753 1
Te6 Te 0.7160 0.2915 0.4554 1
Te7 Te 0.7667 0.2328 0.9653 1
Te8 Te 0.8211 0.6918 0.9753 1
S1 S 0.0944 0.9059 0.8121 1
S2 S 0.9059 0.0944 0.3121 1
```

***

5.
Starting from the GGA-PBE geometry in Alexandria, the X-ray diffraction stick pattern of Pa2TeS4 was calculated for a wavelength of 1.5418 Å.

Principal peaks in the range 2θ from 15° to 90°, sorted by position:
21.58 deg, d 4.117, intensity 76
23.74 deg, d 3.748, intensity 76
25.83 deg, d 3.449, intensity 48
26.56 deg, d 3.356, intensity 100
29.15 deg, d 3.064, intensity 43
31.69 deg, d 2.824, intensity 33
34.43 deg, d 2.605, intensity 47
34.81 deg, d 2.577, intensity 32
37.02 deg, d 2.429, intensity 72
42.56 deg, d 2.124, intensity 83

```
data_Pa2TeS4
_chemical_formula_sum 'Pa4 Te2 S8'
_cell_length_a 8.5446
_cell_length_b 8.5446
_cell_length_c 8.5446
_cell_angle_alpha 123.88
_cell_angle_beta 76.28
_cell_angle_gamma 132.82
_space_group_name_H-M_alt 'P 1'
_space_group_IT_number 1
loop_
_space_group_symop_operation_xyz
'x,y,z'
loop_
_atom_site_label
_atom_site_type_symbol
_atom_site_fract_x
_atom_site_fract_y
_atom_site_fract_z
_atom_site_occupancy
Pa1 Pa 0.0000 0.0000 0.0000 1
Pa2 Pa 0.0000 0.5000 0.5000 1
Pa3 Pa 0.3881 0.3330 0.5551 1
Pa4 Pa 0.7778 0.8330 0.4449 1
Te1 Te 0.1077 0.4797 0.1279 1
Te2 Te 0.3518 0.9797 0.8721 1
S1 S 0.0685 0.3428 0.6725 1
S2 S 0.0685 0.8960 0.2257 1
S3 S 0.1236 0.9789 0.6448 1
S4 S 0.3341 0.4789 0.3552 1
S5 S 0.6703 0.3960 0.3275 1
S6 S 0.6703 0.8428 0.7743 1
S7 S 0.7277 0.4783 0.7493 1
S8 S 0.7290 0.9783 0.2507 1
```

***

6.
Starting from the GGA-PBE geometry in Alexandria, the X-ray diffraction stick pattern of Pa6TeS12 was calculated for a wavelength of 1.5418 Å.

Principal peaks in the range 2θ from 15° to 90°, sorted by position:
23.38 deg, d 3.805, intensity 100
24.07 deg, d 3.698, intensity 61
28.01 deg, d 3.186, intensity 51
28.45 deg, d 3.137, intensity 46
36.45 deg, d 2.465, intensity 33
37.14 deg, d 2.420, intensity 38
39.27 deg, d 2.294, intensity 24
42.55 deg, d 2.125, intensity 36
45.43 deg, d 1.996, intensity 33
59.85 deg, d 1.545, intensity 29

```
data_Pa6TeS12
_chemical_formula_sum 'Pa6 Te1 S12'
_cell_length_a 7.9881
_cell_length_b 7.9881
_cell_length_c 7.9881
_cell_angle_alpha 103.53
_cell_angle_beta 103.53
_cell_angle_gamma 103.53
_space_group_name_H-M_alt 'P 1'
_space_group_IT_number 1
loop_
_space_group_symop_operation_xyz
'x,y,z'
loop_
_atom_site_label
_atom_site_type_symbol
_atom_site_fract_x
_atom_site_fract_y
_atom_site_fract_z
_atom_site_occupancy
Pa1 Pa 0.2432 0.2432 0.6606 1
Pa2 Pa 0.2432 0.6606 0.2432 1
Pa3 Pa 0.3394 0.7568 0.7568 1
Pa4 Pa 0.6606 0.2432 0.2432 1
Pa5 Pa 0.7568 0.3394 0.7568 1
Pa6 Pa 0.7568 0.7568 0.3394 1
Te1 Te 0.0000 0.0000 0.0000 1
S1 S 0.1311 0.5000 0.8689 1
S2 S 0.1311 0.8689 0.5000 1
S3 S 0.1888 0.4564 0.4564 1
S4 S 0.4564 0.1888 0.4564 1
S5 S 0.4564 0.4564 0.1888 1
S6 S 0.5000 0.1311 0.8689 1
S7 S 0.5000 0.8689 0.1311 1
S8 S 0.5436 0.5436 0.8112 1
S9 S 0.5436 0.8112 0.5436 1
S10 S 0.8112 0.5436 0.5436 1
S11 S 0.8689 0.1311 0.5000 1
S12 S 0.8689 0.5000 0.1311 1
```

***

7.
Starting from the GGA-PBE geometry in Alexandria, the X-ray diffraction stick pattern of Pa4TeS6 was calculated for a wavelength of 1.5418 Å.

Principal peaks in the range 2θ from 15° to 90°, sorted by position:
24.45 deg, d 3.640, intensity 100
25.93 deg, d 3.436, intensity 44
31.30 deg, d 2.858, intensity 65
32.54 deg, d 2.752, intensity 22
33.69 deg, d 2.660, intensity 50
40.11 deg, d 2.248, intensity 47
43.04 deg, d 2.102, intensity 46
43.95 deg, d 2.060, intensity 36
53.33 deg, d 1.718, intensity 26
65.30 deg, d 1.429, intensity 27

```
data_Pa4TeS6
_chemical_formula_sum 'Pa4 Te1 S6'
_cell_length_a 8.4072
_cell_length_b 8.4072
_cell_length_c 3.8969
_cell_angle_alpha 90.00
_cell_angle_beta 90.00
_cell_angle_gamma 120.00
_space_group_name_H-M_alt 'P 1'
_space_group_IT_number 1
loop_
_space_group_symop_operation_xyz
'x,y,z'
loop_
_atom_site_label
_atom_site_type_symbol
_atom_site_fract_x
_atom_site_fract_y
_atom_site_fract_z
_atom_site_occupancy
Pa1 Pa 0.0000 0.0000 0.0000 1
Pa2 Pa 0.0338 0.5169 0.5000 1
Pa3 Pa 0.4831 0.5169 0.5000 1
Pa4 Pa 0.4831 0.9662 0.5000 1
Te1 Te 0.6667 0.3333 0.0000 1
S1 S 0.2073 0.4147 0.0000 1
S2 S 0.2073 0.7927 0.0000 1
S3 S 0.2735 0.1367 0.5000 1
S4 S 0.5853 0.7927 0.0000 1
S5 S 0.8633 0.1367 0.5000 1
S6 S 0.8633 0.7265 0.5000 1
```

***

8.
Starting from the GGA-PBE geometry in Alexandria, the X-ray diffraction stick pattern of Pa3Te3S was calculated for a wavelength of 1.5418 Å.

Principal peaks in the range 2θ from 15° to 90°, sorted by position:
25.31 deg, d 3.519, intensity 16
28.65 deg, d 3.116, intensity 20
30.53 deg, d 2.928, intensity 100
30.67 deg, d 2.915, intensity 48
35.77 deg, d 2.510, intensity 14
43.37 deg, d 2.086, intensity 15
43.83 deg, d 2.066, intensity 67
44.07 deg, d 2.055, intensity 20
54.66 deg, d 1.679, intensity 22
80.88 deg, d 1.189, intensity 16

```
data_Pa3Te3S
_chemical_formula_sum 'Pa6 Te6 S2'
_cell_length_a 8.3447
_cell_length_b 4.1095
_cell_length_c 11.6598
_cell_angle_alpha 90.00
_cell_angle_beta 90.10
_cell_angle_gamma 90.00
_space_group_name_H-M_alt 'P 1'
_space_group_IT_number 1
loop_
_space_group_symop_operation_xyz
'x,y,z'
loop_
_atom_site_label
_atom_site_type_symbol
_atom_site_fract_x
_atom_site_fract_y
_atom_site_fract_z
_atom_site_occupancy
Pa1 Pa 0.0979 0.2500 0.3867 1
Pa2 Pa 0.1233 0.2500 0.8545 1
Pa3 Pa 0.3391 0.7500 0.6227 1
Pa4 Pa 0.6609 0.2500 0.3773 1
Pa5 Pa 0.8767 0.7500 0.1455 1
Pa6 Pa 0.9021 0.7500 0.6133 1
Te1 Te 0.1505 0.2500 0.1215 1
Te2 Te 0.3799 0.7500 0.3565 1
Te3 Te 0.3873 0.7500 0.8813 1
Te4 Te 0.6127 0.2500 0.1187 1
Te5 Te 0.6201 0.2500 0.6435 1
Te6 Te 0.8495 0.7500 0.8785 1
S1 S 0.1214 0.2500 0.6211 1
S2 S 0.8786 0.7500 0.3789 1
```